# 1
For Cs3AgBr2, a cell relaxed with GGA-PBE gives the theoretical powder diffractogram in this record (λ = 1.5418 Å (Cu Kα)).

The 12 most intense peaks (15° ≤ 2θ ≤ 90°), in order of falling intensity:
hkl 2 0 0, 22.68 deg, I = 100.0
hkl 2 6 0, 33.91 deg, I = 70.2
hkl 2 6 2, 41.19 deg, I = 41.6
hkl 2 0 2, 32.29 deg, I = 40.3
hkl 0 6 0, 24.88 deg, I = 39.6
hkl 4 6 2, 58.63 deg, I = 28.2
hkl 4 0 2, 52.16 deg, I = 20.2
hkl 4 6 0, 53.28 deg, I = 19.9
hkl 2 12 0, 56.53 deg, I = 15.6
hkl 4 0 0, 46.31 deg, I = 14.4
hkl 4 12 2, 75.98 deg, I = 13.1
hkl 2 12 2, 61.69 deg, I = 12.7

Structure:
```
data_Cs3AgBr2
_cell_length_a 7.842
_cell_length_b 21.474
_cell_length_c 7.842
_cell_angle_alpha 90.00
_cell_angle_beta 90.00
_cell_angle_gamma 90.00
_symmetry_space_group_name_H-M 'F m m 2'
_symmetry_Int_Tables_number 42
_symmetry_space_group_name_Hall 'F 2 -2'
loop_
_atom_site_label
_atom_site_type_symbol
_atom_site_fract_x
_atom_site_fract_y
_atom_site_fract_z
Cs1 Cs 0.000 0.000 0.000
Cs2 Cs 0.000 0.169 0.501
Ag1 Ag 0.000 0.000 0.500
Br1 Br 0.000 0.166 0.001
```


# 2
For PbClF, a cell relaxed with GGA-PBE gives the theoretical powder diffractogram in this record (λ = 1.5418 Å (Cu Kα)).

The 12 most intense peaks (15° ≤ 2θ ≤ 90°), in order of falling intensity:
hkl 0 2 0, 20.51 deg, I = 100.0
hkl 2 2 -1, 32.15 deg, I = 94.5
hkl 2 2 0, 31.89 deg, I = 92.7
hkl 0 2 1, 32.00 deg, I = 92.5
hkl 2 0 0, 24.14 deg, I = 62.2
hkl 0 0 1, 24.30 deg, I = 60.7
hkl 2 0 -1, 24.48 deg, I = 58.0
hkl 2 4 0, 48.83 deg, I = 40.0
hkl 0 4 0, 41.73 deg, I = 31.1
hkl 2 0 1, 42.46 deg, I = 30.1
hkl 2 0 -2, 43.07 deg, I = 29.5
hkl 4 0 -1, 42.79 deg, I = 29.4

Structure:
```
data_PbClF
_cell_length_a 8.454
_cell_length_b 8.659
_cell_length_c 4.201
_cell_angle_alpha 90.00
_cell_angle_beta 119.30
_cell_angle_gamma 90.00
_symmetry_space_group_name_H-M 'C 1 m 1'
_symmetry_Int_Tables_number 8
loop_
_symmetry_equiv_pos_as_xyz
'x,y,z'
'x,-y,z'
'x+1/2,y+1/2,z'
'x+1/2,-y+1/2,z'
loop_
_atom_site_label
_atom_site_type_symbol
_atom_site_fract_x
_atom_site_fract_y
_atom_site_fract_z
Pb1 Pb 0.000 0.243 0.000
Cl1 Cl 0.142 0.000 0.649
Cl2 Cl 0.185 0.500 0.693
F1 F 0.332 0.233 0.336
```